Record 1
For Ti2ZnP2O10, the GGA-PBE geometry in the Materials Project gives the calculated XRD peak list in this record (CuKα).

```
Ti2ZnP2O10
1.0
0.000 8.447 3.585
5.618 0.000 3.585
5.618 8.447 0.000
Ti Zn P O
4 2 4 20
Cartesian
6.952 6.507 3.585
4.285 10.386 3.585
9.761 14.609 5.377
7.095 10.731 5.377
5.618 8.447 0.757
2.809 4.223 2.549
8.462 9.134 2.719
5.653 3.535 4.512
2.775 7.759 2.719
5.584 13.358 4.512
4.359 3.972 1.198
2.999 1.552 1.457
9.687 8.196 2.990
5.809 2.672 3.250
5.767 5.869 2.114
7.197 8.214 2.485
1.259 4.474 1.198
2.619 6.895 1.457
8.279 10.092 3.907
5.470 11.024 2.114
4.388 4.456 4.277
4.040 8.679 2.485
5.585 7.074 4.522
2.958 6.801 3.907
5.652 9.819 4.522
6.849 12.437 4.277
1.550 8.697 2.990
8.461 11.298 6.315
5.428 14.221 3.250
8.394 14.042 6.315
```

Top 10 peaks for 2θ = 10–90°, sorted by position:
d_spacing	Position (°2θ)	intensity
4.120	21.57	32
3.258	27.38	55
3.022	29.56	42
2.949	30.31	100
2.860	31.28	18
2.845	31.44	23
2.458	36.56	35
1.897	47.96	17
1.730	52.91	22
1.650	55.71	16

=====

Record 2
For Tb2Re3Si5, the GGA-PBE geometry in the Materials Project gives the calculated XRD peak list in this record (CuKα).

```
Tb2Re3Si5
1.0
10.991 0.000 0.000
0.000 10.991 0.000
0.000 0.000 5.575
Tb Re Si
8 12 20
Cartesian
0.845 2.612 0.000
2.612 10.146 0.000
2.883 4.650 2.787
4.650 8.108 2.787
6.341 2.883 2.787
8.108 6.341 2.787
8.379 0.845 0.000
10.146 8.379 0.000
0.000 5.496 1.394
0.000 5.496 4.181
1.367 9.376 2.787
1.615 1.367 2.787
3.880 6.863 0.000
4.128 3.880 0.000
5.496 0.000 1.394
5.496 0.000 4.181
6.863 7.111 0.000
7.111 4.128 0.000
9.376 9.624 2.787
9.624 1.615 2.787
0.000 0.000 1.375
0.000 0.000 4.200
0.293 3.463 2.787
1.901 7.397 1.394
1.901 7.397 4.181
2.033 5.202 0.000
3.463 10.698 2.787
3.594 1.901 1.394
3.594 1.901 4.181
5.202 8.958 0.000
5.496 5.496 1.413
5.496 5.496 4.162
5.789 2.033 0.000
7.397 9.090 1.394
7.397 9.090 4.181
7.529 0.293 2.787
8.958 5.789 0.000
9.090 3.594 1.394
9.090 3.594 4.181
10.698 7.529 2.787
```

Top 10 peaks for 2θ = 10–90°, sorted by position:
d_spacing	Position (°2θ)	intensity
3.476	25.63	100
3.062	29.17	33
2.949	30.30	84
2.624	34.17	44
2.458	36.56	55
2.405	37.39	86
2.265	39.80	55
2.044	44.31	40
1.957	46.40	31
1.898	47.94	39

=====

Record 3
For EuGaAg4, the GGA-PBE geometry in the Materials Project gives the calculated XRD peak list in this record (CuKα).

```
EuGaAg4
1.0
2.956 -4.795 0.000
2.956 4.795 0.000
0.000 0.000 4.585
Eu Ga Ag
1 1 4
Cartesian
0.000 0.000 0.000
2.956 0.000 2.293
1.478 2.398 2.293
2.956 1.543 0.000
1.478 -2.398 2.293
2.956 -1.543 0.000
```

Top 10 peaks for 2θ = 10–90°, sorted by position:
d_spacing	Position (°2θ)	intensity
3.314	26.90	23
2.812	31.82	32
2.516	35.68	32
2.484	36.16	68
2.397	37.52	100
2.293	39.30	44
2.206	40.91	20
1.695	54.12	22
1.575	58.60	23
1.199	80.06	23